Theoretical XRD peak list of Ca3V2Bi2O12 for Cu Kα, 1.54184 Å, from a cell relaxed with PBE+U.
Peak positions follow from Bragg's law for the DFT cell and can differ from measured ones.

Crystal structure
a b c (Å): 5.536 7.292 7.604
angles (deg): 76.95 85.68 89.20
Positions (direct):
Ca 0.000 0.000 0.000
Ca 0.020 0.370 0.608
Ca 0.505 0.791 0.769
V 0.452 0.264 0.888
V 0.992 0.869 0.496
Bi 0.038 0.491 0.116
Bi 0.520 0.687 0.268
O 0.264 0.752 0.057
O 0.270 0.464 0.347
O 0.291 0.193 0.096
O 0.320 0.830 0.466
O 0.331 0.485 0.794
O 0.346 0.107 0.770
O 0.749 0.732 0.020
O 0.771 0.263 0.892
O 0.780 0.481 0.357
O 0.824 0.904 0.302
O 0.864 0.673 0.639
O 0.926 0.042 0.610

Most intense lines, 2θ = 15–90°, low angle first:
| d (Å) | I (rel.) |
| --- | --- |
| 4.626 | 100 |
| 4.360 | 35 |
| 4.121 | 36 |
| 3.897 | 32 |
| 3.181 | 50 |
| 3.137 | 47 |
| 3.014 | 65 |
| 2.987 | 93 |
| 2.970 | 47 |
| 2.934 | 77 |